Entry 1:
Diffraction record for Ca4Bi8Pd3. The powder diffraction line list is simulated, not measured: it uses a cell relaxed with PBE and Cu Kα, 1.54184 Å.

Structural model:
```
data_Ca4Bi8Pd3
_cell_length_a 4.683
_cell_length_b 4.683
_cell_length_c 19.172
_cell_angle_alpha 90.00
_cell_angle_beta 90.00
_cell_angle_gamma 90.00
_symmetry_space_group_name_H-M 'P -4 m 2'
_symmetry_Int_Tables_number 115
loop_
_symmetry_equiv_pos_as_xyz
'x,y,z'
'y,-x,-z'
'-x,-y,z'
'-y,x,-z'
'-x,y,z'
'-y,-x,-z'
'x,-y,z'
'y,x,-z'
loop_
_atom_site_label
_atom_site_type_symbol
_atom_site_fract_x
_atom_site_fract_y
_atom_site_fract_z
_atom_site_occupancy
Ca1 Ca 0.000 0.500 0.109 1
Ca2 Ca 0.000 0.500 0.615 1
Bi1 Bi 0.000 0.000 0.250 1
Bi2 Bi 0.000 0.500 0.417 1
Bi3 Bi 0.000 0.500 0.924 1
Bi4 Bi 0.500 0.500 0.242 1
Pd1 Pd 0.000 0.000 0.000 1
Pd2 Pd 0.000 0.000 0.500 1
Pd3 Pd 0.500 0.500 0.500 1
```

Principal peaks in the range 2θ from 10° to 90°, in order of rising 2θ:
(hkl), 2θ/deg, d (Å), Rel. int.
0 0 4, 18.5, 4.793, 15
1 0 2, 21.1, 4.208, 30
1 0 4, 26.6, 3.350, 31
0 0 6, 27.9, 3.195, 26
1 1 2, 28.5, 3.130, 50
1 1 4, 32.9, 2.724, 100
2 0 0, 38.4, 2.342, 56
1 1 8, 46.8, 1.941, 33
2 0 6, 48.2, 1.889, 25
2 2 0, 55.5, 1.656, 19
3 1 4, 66.0, 1.415, 35
3 1 8, 75.5, 1.260, 17



Entry 2:
Diffraction record for Ca2Bi2Pd. The powder diffraction line list is simulated, not measured: it uses a cell relaxed with PBE and Cu Kα, 1.54184 Å.

Structural model:
```
data_Ca2Bi2Pd
_cell_length_a 11.689
_cell_length_b 4.610
_cell_length_c 11.564
_cell_angle_alpha 90.00
_cell_angle_beta 114.81
_cell_angle_gamma 90.00
_symmetry_space_group_name_H-M 'C 1 2/m 1'
_symmetry_Int_Tables_number 12
loop_
_symmetry_equiv_pos_as_xyz
'x,y,z'
'-x,-y,-z'
'-x,y,-z'
'x,-y,z'
'x+1/2,y+1/2,z'
'-x+1/2,-y+1/2,-z'
'-x+1/2,y+1/2,-z'
'x+1/2,-y+1/2,z'
loop_
_atom_site_label
_atom_site_type_symbol
_atom_site_fract_x
_atom_site_fract_y
_atom_site_fract_z
_atom_site_occupancy
Ca1 Ca 0.011 0.000 0.340 1
Ca2 Ca 0.174 0.000 0.118 1
Bi1 Bi 0.042 0.500 0.880 1
Bi2 Bi 0.162 0.500 0.571 1
Pd1 Pd 0.195 0.500 0.327 1
```

Principal peaks in the range 2θ from 10° to 90°, in order of rising 2θ:
(hkl), 2θ/deg, d (Å), Rel. int.
2 0 -1, 15.2, 5.819, 30
1 1 0, 21.0, 4.228, 97
2 0 1, 21.7, 4.093, 42
2 0 -3, 23.9, 3.725, 66
3 1 -1, 30.1, 2.969, 27
1 1 -3, 30.3, 2.949, 83
4 0 -2, 30.7, 2.909, 41
3 1 -3, 33.6, 2.664, 41
0 0 4, 34.2, 2.624, 24
3 1 1, 35.8, 2.510, 100
0 2 0, 39.1, 2.305, 48
1 1 4, 43.5, 2.079, 38



Entry 3:
Diffraction record for CaPm4Bi5. The powder diffraction line list is simulated, not measured: it uses a cell relaxed with PBE and Cu Kα, 1.54184 Å.

Structural model:
```
data_CaPm4Bi5
_cell_length_a 4.584
_cell_length_b 4.584
_cell_length_c 32.527
_cell_angle_alpha 90.00
_cell_angle_beta 90.00
_cell_angle_gamma 90.00
_symmetry_space_group_name_H-M 'I 4/m m m'
_symmetry_Int_Tables_number 139
_symmetry_space_group_name_Hall '-I 4 2'
loop_
_atom_site_label
_atom_site_type_symbol
_atom_site_fract_x
_atom_site_fract_y
_atom_site_fract_z
_atom_site_occupancy
Ca1 Ca 0.000 0.000 0.000 1
Pm1 Pm 0.000 0.000 0.200 1
Pm2 Pm 0.000 0.000 0.401 1
Bi1 Bi 0.000 0.000 0.101 1
Bi2 Bi 0.000 0.000 0.300 1
Bi3 Bi 0.000 0.000 0.500 1
```

Principal peaks in the range 2θ from 10° to 90°, in order of rising 2θ:
(hkl), 2θ/deg, d (Å), Rel. int.
1 0 5, 23.7, 3.747, 13
0 0 10, 27.4, 3.253, 43
1 1 0, 27.5, 3.241, 85
2 0 0, 39.3, 2.295, 100
2 0 10, 48.6, 1.873, 37
0 0 20, 56.6, 1.626, 6
2 2 0, 56.8, 1.621, 12
1 1 20, 64.1, 1.454, 16
3 1 0, 64.2, 1.450, 32
2 0 20, 71.1, 1.326, 12
3 1 10, 71.2, 1.324, 24
2 2 20, 84.4, 1.148, 8



Entry 4:
Diffraction record for CaPmSm2Bi4. The powder diffraction line list is simulated, not measured: it uses a cell relaxed with PBE and Cu Kα, 1.54184 Å.

Structural model:
```
data_CaPmSm2Bi4
_cell_length_a 7.946
_cell_length_b 4.558
_cell_length_c 7.954
_cell_angle_alpha 90.00
_cell_angle_beta 109.26
_cell_angle_gamma 90.00
_symmetry_space_group_name_H-M 'P 1 2/m 1'
_symmetry_Int_Tables_number 10
loop_
_symmetry_equiv_pos_as_xyz
'x,y,z'
'-x,-y,-z'
'-x,y,-z'
'x,-y,z'
loop_
_atom_site_label
_atom_site_type_symbol
_atom_site_fract_x
_atom_site_fract_y
_atom_site_fract_z
_atom_site_occupancy
Ca1 Ca 0.000 0.000 0.000 1
Pm1 Pm 0.500 0.500 0.000 1
Sm1 Sm 0.000 0.500 0.500 1
Sm2 Sm 0.500 0.000 0.500 1
Bi1 Bi 0.250 0.000 0.748 1
Bi2 Bi 0.252 0.500 0.253 1
```

Principal peaks in the range 2θ from 10° to 90°, in order of rising 2θ:
(hkl), 2θ/deg, d (Å), Rel. int.
1 1 1, 27.5, 3.239, 100
2 0 2, 39.2, 2.301, 13
3 1 -1, 39.3, 2.291, 52
0 2 0, 39.5, 2.279, 13
4 0 0, 48.5, 1.876, 14
2 2 -2, 48.9, 1.864, 14
2 2 2, 56.8, 1.620, 14
3 1 3, 64.0, 1.454, 6
4 2 0, 64.3, 1.449, 25
1 3 1, 64.6, 1.443, 6
5 1 1, 71.1, 1.326, 12
3 3 -1, 71.6, 1.318, 9



Entry 5:
Diffraction record for CaTb2PmBi4. The powder diffraction line list is simulated, not measured: it uses a cell relaxed with PBE and Cu Kα, 1.54184 Å.

Structural model:
```
data_CaTb2PmBi4
_cell_length_a 9.090
_cell_length_b 12.855
_cell_length_c 9.081
_cell_angle_alpha 90.00
_cell_angle_beta 90.00
_cell_angle_gamma 90.00
_symmetry_space_group_name_H-M 'F m m 2'
_symmetry_Int_Tables_number 42
_symmetry_space_group_name_Hall 'F 2 -2'
loop_
_atom_site_label
_atom_site_type_symbol
_atom_site_fract_x
_atom_site_fract_y
_atom_site_fract_z
_atom_site_occupancy
Ca1 Ca 0.000 0.000 0.000 1
Tb1 Tb 0.250 0.250 0.249 1
Pm1 Pm 0.000 0.000 0.499 1
Bi1 Bi 0.000 0.249 0.499 1
Bi2 Bi 0.250 0.000 0.250 1
```

Principal peaks in the range 2θ from 10° to 90°, in order of rising 2θ:
(hkl), 2θ/deg, d (Å), Rel. int.
1 1 1, 15.4, 5.747, 3
2 2 0, 24.0, 3.710, 11
2 0 2, 27.8, 3.213, 100
4 0 0, 39.7, 2.272, 78
4 2 2, 46.9, 1.937, 6
4 4 0, 49.1, 1.855, 29
4 0 4, 57.4, 1.606, 14
6 2 0, 63.1, 1.474, 3
6 0 2, 64.9, 1.437, 38
6 4 2, 72.0, 1.312, 28
6 2 4, 77.1, 1.237, 2
8 0 0, 85.5, 1.136, 8



Entry 6:
Diffraction record for CaPr2Bi3. The powder diffraction line list is simulated, not measured: it uses a cell relaxed with PBE and Cu Kα, 1.54184 Å.

Structural model:
```
data_CaPr2Bi3
_cell_length_a 14.808
_cell_length_b 6.564
_cell_length_c 9.174
_cell_angle_alpha 90.00
_cell_angle_beta 108.03
_cell_angle_gamma 90.00
_symmetry_space_group_name_H-M 'C 1 2/c 1'
_symmetry_Int_Tables_number 15
loop_
_symmetry_equiv_pos_as_xyz
'x,y,z'
'-x,-y,-z'
'-x,y,-z+1/2'
'x,-y,z+1/2'
'x+1/2,y+1/2,z'
'-x+1/2,-y+1/2,-z'
'-x+1/2,y+1/2,-z+1/2'
'x+1/2,-y+1/2,z+1/2'
loop_
_atom_site_label
_atom_site_type_symbol
_atom_site_fract_x
_atom_site_fract_y
_atom_site_fract_z
_atom_site_occupancy
Ca1 Ca 0.000 0.001 0.250 1
Pr1 Pr 0.166 0.500 0.083 1
Bi1 Bi 0.000 0.499 0.750 1
Bi2 Bi 0.169 0.000 0.084 1
```

Principal peaks in the range 2θ from 10° to 90°, in order of rising 2θ:
(hkl), 2θ/deg, d (Å), Rel. int.
3 1 0, 23.3, 3.818, 9
1 1 -2, 23.7, 3.760, 9
2 0 2, 27.2, 3.281, 100
6 0 0, 38.4, 2.347, 14
2 2 2, 38.8, 2.320, 53
2 0 -4, 39.3, 2.293, 13
6 2 0, 47.6, 1.909, 15
2 2 -4, 48.4, 1.880, 14
0 4 0, 56.1, 1.641, 14
2 4 2, 63.4, 1.467, 25
8 2 2, 69.7, 1.350, 10
0 2 6, 70.9, 1.329, 9



Entry 7:
Diffraction record for CaPrTm2Bi4. The powder diffraction line list is simulated, not measured: it uses a cell relaxed with PBE and Cu Kα, 1.54184 Å.

Structural model:
```
data_CaPrTm2Bi4
_cell_length_a 6.410
_cell_length_b 6.410
_cell_length_c 12.801
_cell_angle_alpha 90.00
_cell_angle_beta 90.00
_cell_angle_gamma 90.00
_symmetry_space_group_name_H-M 'I 4/m m m'
_symmetry_Int_Tables_number 139
_symmetry_space_group_name_Hall '-I 4 2'
loop_
_atom_site_label
_atom_site_type_symbol
_atom_site_fract_x
_atom_site_fract_y
_atom_site_fract_z
_atom_site_occupancy
Ca1 Ca 0.000 0.000 0.000 1
Pr1 Pr 0.000 0.000 0.500 1
Tm1 Tm 0.000 0.500 0.250 1
Bi1 Bi 0.000 0.000 0.249 1
Bi2 Bi 0.000 0.500 0.000 1
```

Principal peaks in the range 2θ from 10° to 90°, in order of rising 2θ:
(hkl), 2θ/deg, d (Å), Rel. int.
0 0 2, 13.8, 6.400, 2
1 0 1, 15.5, 5.732, 3
1 1 2, 24.1, 3.699, 9
2 0 0, 27.9, 3.203, 100
2 2 0, 39.8, 2.265, 78
3 1 2, 47.0, 1.932, 5
2 2 4, 49.3, 1.850, 29
4 0 0, 57.5, 1.602, 14
3 3 2, 63.3, 1.470, 2
4 2 0, 65.1, 1.433, 38
4 2 4, 72.2, 1.308, 28
4 4 0, 85.8, 1.133, 9



Entry 8:
Diffraction record for CaBi4Pt4. The powder diffraction line list is simulated, not measured: it uses a cell relaxed with PBE and Cu Kα, 1.54184 Å.

Structural model:
```
data_CaBi4Pt4
_cell_length_a 9.268
_cell_length_b 9.268
_cell_length_c 5.581
_cell_angle_alpha 90.00
_cell_angle_beta 90.00
_cell_angle_gamma 90.00
_symmetry_space_group_name_H-M 'P 42/n'
_symmetry_Int_Tables_number 86
loop_
_symmetry_equiv_pos_as_xyz
'x,y,z'
'-x,-y,-z'
'-y,x+1/2,z+1/2'
'y,-x+1/2,-z+1/2'
'-x+1/2,-y+1/2,z'
'x+1/2,y+1/2,-z'
'y+1/2,-x,z+1/2'
'-y+1/2,x,-z+1/2'
loop_
_atom_site_label
_atom_site_type_symbol
_atom_site_fract_x
_atom_site_fract_y
_atom_site_fract_z
_atom_site_occupancy
Ca1 Ca 0.250 0.250 0.250 1
Bi1 Bi 0.098 0.632 0.150 1
Pt1 Pt 0.038 0.616 0.649 1
```

Principal peaks in the range 2θ from 10° to 90°, in order of rising 2θ:
(hkl), 2θ/deg, d (Å), Rel. int.
1 1 0, 13.5, 6.553, 67
2 0 0, 19.2, 4.634, 33
1 3 0, 30.5, 2.931, 100
1 0 2, 33.5, 2.672, 62
2 3 1, 38.6, 2.335, 31
4 0 0, 38.9, 2.316, 41
3 3 0, 41.3, 2.184, 18
3 0 2, 43.7, 2.071, 80
3 2 2, 48.1, 1.891, 27
1 4 2, 52.3, 1.750, 15
4 3 2, 59.9, 1.544, 21
1 6 2, 70.4, 1.337, 15